CsGa3: simulated PXRD pattern (Cu Kα), based on the PBE geometry in the Materials Project.
Intensities are scaled so that the largest is 100.

Most intense lines, 2θ = 5–70°, in order of rising 2θ:
(hkl)  d (Å)  two_theta  I (rel.)
2 0 0  3.232  27.60  46
2 0 2  2.985  29.94  16
1 1 4  2.961  30.19  100
2 1 1  2.842  31.47  86
1 0 5  2.802  31.94  33
2 2 2  2.193  41.17  17
2 0 6  2.021  44.84  20
3 1 2  1.977  45.90  23
3 2 1  1.781  51.29  17
3 0 5  1.771  51.61  16

```
data_CsGa3
_cell_length_a 6.465
_cell_length_b 6.465
_cell_length_c 15.543
_cell_angle_alpha 90.00
_cell_angle_beta 90.00
_cell_angle_gamma 90.00
_symmetry_space_group_name_H-M 'I -4 m 2'
_symmetry_Int_Tables_number 119
_symmetry_space_group_name_Hall 'I -4 -2'
loop_
_atom_site_label
_atom_site_fract_x
_atom_site_fract_y
_atom_site_fract_z
_atom_site_occupancy
Cs1 0.000 0.000 0.000 1
Cs2 0.000 0.500 0.630 1
Ga1 0.000 0.000 0.500 1
Ga2 0.000 0.214 0.224 1
Ga3 0.000 0.309 0.394 1
```